No. 1
Structure and simulated XRD peak list of NaMnO4 (the GGA+U geometry in the Materials Project; Cu Kα, 1.54184 Å).
Neutral-atom scattering factors, no anomalous dispersion.

Structural model:
abc: 5.4050 5.4050 7.0461
angles: 90.00 90.00 114.01
Positions (direct):
Na1 0.0000 0.0000 0.0000
Na2 0.0000 0.0000 0.5000
Mn1 0.3611 0.6389 0.7500
Mn2 0.6389 0.3611 0.2500
O1 0.2388 0.3094 0.7500
O2 0.2598 0.7402 0.5630
O3 0.2598 0.7402 0.9370
O4 0.3094 0.2388 0.2500
O5 0.6906 0.7612 0.7500
O6 0.7402 0.2598 0.0630
O7 0.7402 0.2598 0.4370
O8 0.7612 0.6906 0.2500

Main lines, in order of rising 2θ (2θ = 5–70°):
2theta, d/Å, Rel. int.
18.0, 4.937, 9
22.0, 4.043, 100
23.3, 3.812, 67
25.3, 3.523, 9
30.4, 2.943, 22
31.2, 2.868, 49
33.3, 2.689, 28
38.6, 2.330, 12
43.4, 2.085, 10
47.7, 1.906, 11
57.6, 1.600, 24
63.1, 1.473, 12

---

No. 2
Structure and simulated XRD peak list of Cr3Pb5F19 (the GGA+U geometry in the Materials Project; Cu Kα, 1.54184 Å).
Neutral-atom scattering factors, no anomalous dispersion.

Structural model:
abc: 11.2757 11.2757 11.2707
angles: 96.72 96.72 139.91
Positions (direct):
Cr1 0.0000 0.0000 0.0000
Cr2 0.3219 0.3219 0.6490
Cr3 0.4583 0.9577 0.8248
Cr4 0.4990 0.8226 0.3250
Cr5 0.8226 0.4990 0.3250
Cr6 0.9577 0.4583 0.8248
Pb1 0.0575 0.3945 0.5160
Pb2 0.2058 0.8666 0.1343
Pb3 0.3697 0.5592 0.9860
Pb4 0.3945 0.0576 0.5160
Pb5 0.4868 0.4868 0.3250
Pb6 0.5592 0.3697 0.9860
Pb7 0.7033 0.8950 0.6626
Pb8 0.8666 0.2058 0.1343
Pb9 0.8950 0.7033 0.6626
Pb10 0.9860 0.9860 0.3234
F1 0.0093 0.2249 0.3237
F2 0.0342 0.5580 0.0052
F3 0.0653 0.1981 0.6041
F4 0.0646 0.3839 0.8428
F5 0.0667 0.7213 0.4602
F6 0.0876 0.2240 0.9790
F7 0.1518 0.1518 0.1790
F8 0.1981 0.0653 0.6041
F9 0.2042 0.7115 0.8247
F10 0.2240 0.0876 0.9790
F11 0.2249 0.0093 0.3237
F12 0.2876 0.5657 0.1924
F13 0.2943 0.2943 0.4697
F14 0.3572 0.8628 0.3250
F15 0.3610 0.8785 0.6435
F16 0.3655 0.3655 0.8315
F17 0.3839 0.0646 0.8428
F18 0.4190 0.6972 0.4575
F19 0.4321 0.5670 0.6709
F20 0.5134 0.5134 0.1098
F21 0.5308 0.8499 0.8014
F22 0.5580 0.0342 0.0052
F23 0.5657 0.2876 0.1924
F24 0.5670 0.4321 0.6709
F25 0.5875 0.9326 0.1913
F26 0.6527 0.7976 0.3255
F27 0.6972 0.4190 0.4575
F28 0.7115 0.2042 0.8247
F29 0.7213 0.0667 0.4602
F30 0.7268 0.7268 0.5415
F31 0.7873 0.9206 0.0454
F32 0.7976 0.6527 0.3255
F33 0.8499 0.5308 0.8014
F34 0.8587 0.8587 0.8181
F35 0.8628 0.3572 0.3250
F36 0.8785 0.3610 0.6435
F37 0.9206 0.7873 0.0454
F38 0.9326 0.5875 0.1913

Main lines, in order of rising 2θ (2θ = 5–70°):
2theta, d/Å, Rel. int.
17.5, 5.062, 36
23.0, 3.865, 53
23.8, 3.745, 25
24.3, 3.660, 72
25.9, 3.434, 31
26.6, 3.350, 83
27.1, 3.288, 100
28.6, 3.122, 44
43.0, 2.102, 34
43.1, 2.097, 29
50.2, 1.816, 37
51.8, 1.766, 24

---

No. 3
Structure and simulated XRD peak list of CaMn8O8F8 (the GGA+U geometry in the Materials Project; Cu Kα, 1.54184 Å).
Neutral-atom scattering factors, no anomalous dispersion.

Structural model:
abc: 4.8019 4.8452 13.0100
angles: 89.95 89.69 89.09
Positions (direct):
Ca1 0.0000 0.0000 0.0000
Mn1 0.0134 0.6070 0.3839
Mn2 0.4543 0.1067 0.4992
Mn3 0.4915 0.3875 0.0045
Mn4 0.5059 0.0471 0.7404
Mn5 0.5117 0.0404 0.2610
Mn6 0.9291 0.5369 0.8497
Mn7 0.9419 0.5441 0.6161
Mn8 0.9482 0.5335 0.1531
O1 0.0758 0.4609 0.0029
O2 0.1648 0.4048 0.4992
O3 0.2952 0.9045 0.3798
O4 0.6589 0.2538 0.6140
O5 0.6777 0.2424 0.8734
O6 0.6883 0.2382 0.1352
O7 0.7516 0.7134 0.7361
O8 0.7948 0.7451 0.2646
F1 0.1840 0.3375 0.7429
F2 0.1971 0.8494 0.8537
F3 0.2222 0.3530 0.2565
F4 0.2281 0.8423 0.1421
F5 0.2409 0.8577 0.6232
F6 0.6110 0.7834 0.9911
F7 0.7153 0.2936 0.3778
F8 0.7513 0.7989 0.4981

Main lines, in order of rising 2θ (2θ = 5–70°):
2theta, d/Å, Rel. int.
25.9, 3.437, 72
26.3, 3.384, 96
26.8, 3.325, 36
27.2, 3.275, 20
29.8, 3.002, 22
33.2, 2.700, 100
33.4, 2.686, 44
38.3, 2.349, 24
38.5, 2.341, 29
50.5, 1.806, 22
53.3, 1.719, 22
56.6, 1.626, 26